(1)
This entry pairs a crystal structure of ZnSb2Ru with its simulated X-ray powder pattern. Radiation: Cu Kα, 1.54184 Å. Structure: DFT lattice parameters and positions (PBE).
Neutral-atom scattering factors, no anomalous dispersion.

Main lines, in order of rising 2θ (10° ≤ 2θ ≤ 80°):
d [Å]  2theta  Rel. int.
2.725  32.87  100
2.451  36.66  30
2.418  37.18  20
2.158  41.87  31
2.131  42.41  56
2.110  42.87  21
1.886  48.25  20
1.620  56.85  16
1.610  57.22  11
1.420  65.76  16

Atomic structure:
```
data_ZnSb2Ru
_cell_length_a 3.772
_cell_length_b 4.315
_cell_length_c 5.189
_cell_angle_alpha 90.00
_cell_angle_beta 111.22
_cell_angle_gamma 90.00
_space_group_name_H-M_alt 'P 1 m 1'
_space_group_IT_number 6
loop_
_space_group_symop_operation_xyz
'x,y,z'
'x,-y,z'
loop_
_atom_site_label
_atom_site_type_symbol
_atom_site_fract_x
_atom_site_fract_y
_atom_site_fract_z
Zn1 Zn 0.000 0.000 0.000
Sb1 Sb 0.445 0.500 0.888
Sb2 Sb 0.725 0.000 0.450
Ru1 Ru 0.154 0.500 0.307
```

---

(2)
This entry pairs a crystal structure of Zn11SbRu3 with its simulated X-ray powder pattern. Radiation: Cu Kα, 1.54184 Å. Structure: DFT lattice parameters and positions (PBE).
Neutral-atom scattering factors, no anomalous dispersion.

Main lines, in order of rising 2θ (10° ≤ 2θ ≤ 80°):
d [Å]  2theta  Rel. int.
2.482  36.19  12
2.265  39.79  30
2.215  40.74  100
2.196  41.11  21
2.181  41.40  31
2.136  42.32  25
2.118  42.69  29
1.988  45.62  14
1.307  72.28  12
1.241  76.83  10

Atomic structure:
```
data_Zn11SbRu3
_cell_length_a 16.944
_cell_length_b 6.865
_cell_length_c 7.953
_cell_angle_alpha 90.00
_cell_angle_beta 90.00
_cell_angle_gamma 90.00
_space_group_name_H-M_alt 'A m a 2'
_space_group_IT_number 40
loop_
_space_group_symop_operation_xyz
'x,y,z'
'-x,-y,z'
'-x+1/2,y,z'
'x+1/2,-y,z'
'x,y+1/2,z+1/2'
'-x,-y+1/2,z+1/2'
'-x+1/2,y+1/2,z+1/2'
'x+1/2,-y+1/2,z+1/2'
loop_
_atom_site_label
_atom_site_type_symbol
_atom_site_fract_x
_atom_site_fract_y
_atom_site_fract_z
Zn1 Zn 0.000 0.000 0.000
Zn2 Zn 0.000 0.000 0.542
Zn3 Zn 0.009 0.217 0.270
Zn4 Zn 0.122 0.483 0.292
Zn5 Zn 0.128 0.441 0.698
Zn6 Zn 0.164 0.123 0.490
Zn7 Zn 0.250 0.250 0.797
Sb1 Sb 0.250 0.263 0.166
Ru1 Ru 0.111 0.266 0.004
Ru2 Ru 0.250 0.429 0.485
```

---

(3)
This entry pairs a crystal structure of Zr2SbRu with its simulated X-ray powder pattern. Radiation: Cu Kα, 1.54184 Å. Structure: DFT lattice parameters and positions (PBE).
Neutral-atom scattering factors, no anomalous dispersion.

Main lines, in order of rising 2θ (10° ≤ 2θ ≤ 80°):
d [Å]  2theta  Rel. int.
2.493  36.03  100
2.409  37.32  25
2.131  42.41  17
1.994  45.48  10
1.596  57.75  15
1.536  60.24  8
1.456  63.92  7
1.407  66.47  16
1.290  73.41  12
1.246  76.42  8

Atomic structure:
```
data_Zr2SbRu
_cell_length_a 4.263
_cell_length_b 4.819
_cell_length_c 7.978
_cell_angle_alpha 90.00
_cell_angle_beta 90.00
_cell_angle_gamma 90.00
_space_group_name_H-M_alt 'C m m m'
_space_group_IT_number 65
_space_group_name_Hall '-C 2 2'
loop_
_atom_site_label
_atom_site_type_symbol
_atom_site_fract_x
_atom_site_fract_y
_atom_site_fract_z
Zr1 Zr 0.000 0.000 0.214
Sb1 Sb 0.000 0.500 0.500
Ru1 Ru 0.000 0.500 0.000
```

---

(4)
This entry pairs a crystal structure of Sc4Ru3 with its simulated X-ray powder pattern. Radiation: Cu Kα, 1.54184 Å. Structure: DFT lattice parameters and positions (PBE).
Neutral-atom scattering factors, no anomalous dispersion.

Main lines, in order of rising 2θ (10° ≤ 2θ ≤ 80°):
d [Å]  2theta  Rel. int.
7.026  12.60  24
3.936  22.59  18
3.745  23.76  17
3.189  27.98  17
2.313  38.93  100
2.201  41.01  93
1.595  57.82  30
1.336  70.51  16
1.313  71.92  31
1.251  76.05  12

Atomic structure:
```
data_Sc4Ru3
_cell_length_a 4.6265
_cell_length_b 4.6265
_cell_length_c 21.0771
_cell_angle_alpha 90.00
_cell_angle_beta 90.00
_cell_angle_gamma 120.00
_space_group_name_H-M_alt 'R -3 m'
_space_group_IT_number 166
_space_group_name_Hall '-R 3 2"'
loop_
_atom_site_label
_atom_site_type_symbol
_atom_site_fract_x
_atom_site_fract_y
_atom_site_fract_z
Sc1 Sc 0.0000 0.0000 0.1227
Sc2 Sc 0.0000 0.0000 0.3728
Ru1 Ru 0.0000 0.0000 0.2485
Ru2 Ru 0.0000 0.0000 0.5000
```